Simulated X-ray diffraction stick pattern of Dy2MgTl for a wavelength of 1.5418 Å, from a PBE-relaxed structure.
No peak broadening, texture or thermal motion is included.

Top 6 peaks for 2θ from 10° to 90°, in order of rising 2θ:
2θ (°)	I/Imax
20.36	23
33.56	100
39.57	13
48.19	18
60.00	38
80.40	17

Cell and atoms:
Cell lengths 5.341, 5.341, 5.341 Å; angles 60.00, 60.00, 60.00 degrees
Fractional coordinates of all 4 atoms:
Dy 0.250 0.250 0.250
Dy 0.750 0.750 0.750
Mg 0.000 0.000 0.000
Tl 0.500 0.500 0.500


Simulated X-ray diffraction stick pattern of DyMgZn2 for a wavelength of 1.5418 Å, from a PBE-relaxed structure.
No peak broadening, texture or thermal motion is included.

Top 6 peaks for 2θ from 10° to 90°, in order of rising 2θ:
2θ (°)	I/Imax
22.55	40
37.24	100
43.98	21
53.69	17
67.15	34
79.37	10

Cell and atoms:
Cell lengths 4.829, 4.829, 4.829 Å; angles 60.00, 60.00, 60.00 degrees
Fractional coordinates of all 4 atoms:
Dy 0.000 0.000 0.000
Mg 0.500 0.500 0.500
Zn 0.250 0.250 0.250
Zn 0.750 0.750 0.750


Simulated X-ray diffraction stick pattern of Dy6Mn23 for a wavelength of 1.5418 Å, from a PBE-relaxed structure.
No peak broadening, texture or thermal motion is included.

Top 6 peaks for 2θ from 10° to 90°, in order of rising 2θ:
2θ (°)	I/Imax
25.73	30
32.54	32
36.71	35
39.02	100
42.65	92
66.11	28

Cell and atoms:
Cell lengths 8.480, 8.480, 8.480 Å; angles 60.00, 60.00, 60.00 degrees
Fractional coordinates of all 29 atoms:
Dy 0.204 0.204 0.796
Dy 0.204 0.796 0.204
Dy 0.204 0.796 0.796
Dy 0.796 0.204 0.204
Dy 0.796 0.204 0.796
Dy 0.796 0.796 0.204
Mn 0.000 0.000 0.500
Mn 0.000 0.500 0.000
Mn 0.000 0.500 0.500
Mn 0.134 0.622 0.622
Mn 0.178 0.178 0.178
Mn 0.178 0.178 0.467
Mn 0.178 0.467 0.178
Mn 0.378 0.378 0.378
Mn 0.378 0.378 0.866
Mn 0.378 0.866 0.378
Mn 0.467 0.178 0.178
Mn 0.500 0.000 0.000
Mn 0.500 0.000 0.500
Mn 0.500 0.500 0.000
Mn 0.500 0.500 0.500
Mn 0.533 0.822 0.822
Mn 0.622 0.134 0.622
Mn 0.622 0.622 0.134
Mn 0.622 0.622 0.622
Mn 0.822 0.533 0.822
Mn 0.822 0.822 0.533
Mn 0.822 0.822 0.822
Mn 0.866 0.378 0.378


Simulated X-ray diffraction stick pattern of Dy2Mn12P7 for a wavelength of 1.5418 Å, from a PBE-relaxed structure.
No peak broadening, texture or thermal motion is included.

Top 6 peaks for 2θ from 10° to 90°, in order of rising 2θ:
2θ (°)	I/Imax
27.11	13
33.37	17
38.72	100
50.68	14
52.02	16
75.58	11

Cell and atoms:
Cell lengths 9.303, 9.303, 3.602 Å; angles 90.00, 90.00, 120.00 degrees
Fractional coordinates of all 21 atoms:
Dy 0.000 0.000 0.000
Dy 0.333 0.667 0.500
Mn 0.043 0.285 0.500
Mn 0.103 0.725 0.000
Mn 0.242 0.957 0.500
Mn 0.275 0.378 0.000
Mn 0.440 0.210 0.000
Mn 0.511 0.454 0.500
Mn 0.546 0.057 0.500
Mn 0.622 0.897 0.000
Mn 0.715 0.758 0.500
Mn 0.770 0.560 0.000
Mn 0.790 0.230 0.000
Mn 0.943 0.489 0.500
P 0.075 0.460 0.000
P 0.256 0.214 0.500
P 0.385 0.925 0.000
P 0.540 0.615 0.000
P 0.667 0.333 0.500
P 0.786 0.042 0.500
P 0.958 0.744 0.500